Entry 1:
Calculated PXRD pattern
Compound: BaMg14C
Radiation: Cu Ka
Structure: a crystal structure in the Materials Project, relaxed with GGA-PBE
Neutral-atom scattering factors, no anomalous dispersion.

Structure:
Cell: 10.324 6.110 12.059 Å, 90.00 90.00 90.00°
Space group Amm2 (No. 38)
Unique sites:
Ba 0.000 0.000 0.000
Mg 0.000 0.232 0.262
Mg 0.208 0.000 0.623
Mg 0.259 0.242 0.385
Mg 0.270 0.000 0.146
Mg 0.500 0.000 0.485
Mg 0.500 0.000 0.975
Mg 0.500 0.245 0.730
C 0.000 0.000 0.408

The 6 most intense peaks (10 to 90 degrees two-theta), by intensity:
d = 2.410 Å, 37.31°, rel. 100, (2 2 2)
d = 2.603 Å, 34.45°, rel. 87, (2 0 4)
d = 2.725 Å, 32.87°, rel. 48, (0 2 2)
d = 4.820 Å, 18.41°, rel. 47, (1 1 1)
d = 2.581 Å, 34.76°, rel. 46, (4 0 0)
d = 3.748 Å, 23.74°, rel. 35, (2 1 1)

***

Entry 2:
Calculated PXRD pattern
Compound: BaMg14C
Radiation: Cu Ka
Structure: a crystal structure in the Materials Project, relaxed with GGA-PBE
Neutral-atom scattering factors, no anomalous dispersion.

Structure:
Cell: 6.4887 6.4887 10.3444 Å, 90.00 90.00 120.00°
Space group P-6m2 (No. 187)
Unique sites:
Ba 0.0000 0.0000 0.0000
Mg 0.0140 0.5070 0.0000
Mg 0.1594 0.3187 0.2863
Mg 0.5094 0.0187 0.5000
Mg 0.6667 0.3333 0.2398
C 0.0000 0.0000 0.5000

The 6 most intense peaks (10 to 90 degrees two-theta), by intensity:
d = 2.469 Å, 36.39°, rel. 100, (2 0 2)
d = 4.938 Å, 17.96°, rel. 39, (1 0 1)
d = 2.810 Å, 31.85°, rel. 28, (2 0 0)
d = 5.619 Å, 15.77°, rel. 22, (1 0 0)
d = 2.939 Å, 30.41°, rel. 21, (1 0 3)
d = 2.586 Å, 34.69°, rel. 21, (0 0 4)

***

Entry 3:
Calculated PXRD pattern
Compound: BaMgC2O6
Radiation: Cu Ka
Structure: a crystal structure in the Materials Project, relaxed with GGA-PBE
Neutral-atom scattering factors, no anomalous dispersion.

Structure:
Cell: 5.0940 5.0940 33.6196 Å, 90.00 90.00 120.00°
Space group R-3c (No. 167, hexagonal axes)
Unique sites:
Ba 0.0000 0.0000 0.2500
Mg 0.0000 0.0000 0.0000
C 0.0000 0.0000 0.1300
O 0.0410 0.4914 0.2956

The 6 most intense peaks (10 to 90 degrees two-theta), by intensity:
d = 3.043 Å, 29.35°, rel. 100, (0 1 8)
d = 3.906 Å, 22.77°, rel. 42, (1 0 4)
d = 4.267 Å, 20.82°, rel. 37, (0 1 2)
d = 2.674 Å, 33.51°, rel. 30, (1 0 10)
d = 2.547 Å, 35.24°, rel. 29, (1 1 0)
d = 1.885 Å, 48.29°, rel. 29, (1 1 12)

***

Entry 4:
Calculated PXRD pattern
Compound: BaMgC2O6
Radiation: Cu Ka
Structure: a crystal structure in the Materials Project, relaxed with GGA-PBE
Neutral-atom scattering factors, no anomalous dispersion.

Structure:
Cell: 8.801 5.064 11.788 Å, 90.00 103.99 90.00°
Space group C2/c (No. 15)
Unique sites:
Ba 0.000 0.227 0.250
Mg 0.250 0.250 0.000
C 0.115 0.276 0.608
O 0.031 0.284 0.886
O 0.182 0.054 0.598
O 0.196 0.495 0.623

The 6 most intense peaks (10 to 90 degrees two-theta), by intensity:
d = 3.062 Å, 29.16°, rel. 100, (1 1 -3)
d = 3.910 Å, 22.74°, rel. 65, (2 0 -2)
d = 3.083 Å, 28.96°, rel. 54, (2 0 2)
d = 2.537 Å, 35.39°, rel. 46, (3 1 -1)
d = 2.179 Å, 41.44°, rel. 40, (4 0 -2)
d = 4.249 Å, 20.91°, rel. 35, (1 1 -1)

***

Entry 5:
Calculated PXRD pattern
Compound: BaMg6CO8
Radiation: Cu Ka
Structure: a crystal structure in the Materials Project, relaxed with GGA-PBE
Neutral-atom scattering factors, no anomalous dispersion.

Structure:
Cell: 4.656 4.656 8.665 Å, 90.00 90.00 90.00°
Space group P4/mmm (No. 123)
Unique sites:
Ba 0.000 0.000 0.000
Mg 0.000 0.500 0.269
Mg 0.500 0.500 0.000
Mg 0.500 0.500 0.500
C 0.000 0.000 0.500
O 0.000 0.000 0.287
O 0.000 0.500 0.000
O 0.000 0.500 0.500
O 0.500 0.500 0.253

The 6 most intense peaks (10 to 90 degrees two-theta), by intensity:
d = 2.328 Å, 38.67°, rel. 100, (2 0 0)
d = 4.102 Å, 21.67°, rel. 61, (1 0 1)
d = 8.665 Å, 10.21°, rel. 61, (0 0 1)
d = 1.586 Å, 58.17°, rel. 47, (2 0 4)
d = 2.622 Å, 34.20°, rel. 41, (1 1 2)
d = 3.078 Å, 29.01°, rel. 37, (1 1 1)

***

Entry 6:
Calculated PXRD pattern
Compound: BaMg6CO8
Radiation: Cu Ka
Structure: a crystal structure in the Materials Project, relaxed with GGA-PBE
Neutral-atom scattering factors, no anomalous dispersion.

Structure:
Cell: 4.575 4.575 8.960 Å, 90.00 90.00 90.00°
Space group P4/mmm (No. 123)
Unique sites:
Ba 0.000 0.000 0.000
Mg 0.000 0.000 0.500
Mg 0.000 0.500 0.266
Mg 0.500 0.500 0.500
C 0.500 0.500 0.000
O 0.000 0.000 0.282
O 0.000 0.500 0.000
O 0.000 0.500 0.500
O 0.500 0.500 0.259

The 6 most intense peaks (10 to 90 degrees two-theta), by intensity:
d = 2.288 Å, 39.39°, rel. 100, (2 0 0)
d = 4.075 Å, 21.81°, rel. 67, (1 0 1)
d = 1.601 Å, 57.59°, rel. 53, (2 0 4)
d = 4.575 Å, 19.40°, rel. 48, (1 0 0)
d = 2.623 Å, 34.19°, rel. 44, (1 1 2)
d = 2.240 Å, 40.26°, rel. 43, (0 0 4)

***

Entry 7:
Calculated PXRD pattern
Compound: BaMgC2O6
Radiation: Cu Ka
Structure: a crystal structure in the Materials Project, relaxed with GGA-PBE
Neutral-atom scattering factors, no anomalous dispersion.

Structure:
Cell: 5.0910 5.0910 16.9443 Å, 90.00 90.00 120.00°
Space group R-3m (No. 166, hexagonal axes)
Unique sites:
Ba 0.0000 0.0000 0.0000
Mg 0.0000 0.0000 0.5000
C 0.0000 0.0000 0.2400
O 0.0395 0.5197 0.9089

The 6 most intense peaks (10 to 90 degrees two-theta), by intensity:
d = 3.055 Å, 29.24°, rel. 100, (1 0 4)
d = 3.911 Å, 22.74°, rel. 41, (0 1 2)
d = 4.267 Å, 20.82°, rel. 36, (1 0 1)
d = 2.687 Å, 33.35°, rel. 30, (0 1 5)
d = 2.546 Å, 35.26°, rel. 29, (1 1 0)
d = 1.891 Å, 48.12°, rel. 29, (1 1 6)

***

Entry 8:
Calculated PXRD pattern
Compound: BaC8N6
Radiation: Cu Ka
Structure: a crystal structure in the Materials Project, relaxed with GGA-PBE
Neutral-atom scattering factors, no anomalous dispersion.

Structure:
Cell: 8.750 6.037 11.897 Å, 90.00 90.00 90.00°
Space group Pmna (No. 53)
Unique sites:
Ba 0.000 0.000 0.000
C 0.000 0.410 0.339
C 0.000 0.415 0.739
C 0.138 0.321 0.378
N 0.000 0.271 0.804
N 0.247 0.244 0.089

The 6 most intense peaks (10 to 90 degrees two-theta), by intensity:
d = 4.585 Å, 19.36°, rel. 100, (1 1 1)
d = 7.049 Å, 12.56°, rel. 58, (1 0 1)
d = 4.237 Å, 20.97°, rel. 48, (0 1 2)
d = 3.044 Å, 29.34°, rel. 40, (2 1 2)
d = 3.612 Å, 24.65°, rel. 29, (1 0 3)
d = 2.294 Å, 39.28°, rel. 27, (1 0 5)

***

Entry 9:
Calculated PXRD pattern
Compound: BaC8N6
Radiation: Cu Ka
Structure: a crystal structure in the Materials Project, relaxed with GGA-PBE
Neutral-atom scattering factors, no anomalous dispersion.

Structure:
Cell: 14.7782 14.7782 4.4872 Å, 90.00 90.00 120.00°
Space group P31m (No. 157)
Unique sites:
Ba 0.0000 0.0000 0.0000
Ba 0.3333 0.6667 0.2364
C 0.0000 0.2020 0.4314
C 0.0000 0.2906 0.3258
C 0.0000 0.6286 0.8061
C 0.0000 0.7207 0.8912
C 0.0945 0.3828 0.2710
C 0.0955 0.6312 0.7645
N 0.0000 0.1268 0.5155
N 0.0000 0.7970 0.9633
N 0.1725 0.4605 0.2238
N 0.1765 0.6355 0.7312

The 6 most intense peaks (10 to 90 degrees two-theta), by intensity:
d = 7.389 Å, 11.98°, rel. 100, (1 1 0)
d = 3.835 Å, 23.19°, rel. 45, (2 -1 1)
d = 4.266 Å, 20.82°, rel. 43, (3 0 0)
d = 2.793 Å, 32.05°, rel. 33, (4 1 0)
d = 2.371 Å, 37.95°, rel. 24, (5 -1 1)
d = 3.092 Å, 28.88°, rel. 22, (3 0 1)

***

Entry 10:
Calculated PXRD pattern
Compound: Ba7CN6
Radiation: Cu Ka
Structure: a crystal structure in the Materials Project, relaxed with GGA-PBE
Neutral-atom scattering factors, no anomalous dispersion.

Structure:
Cell: 12.314 7.121 13.922 Å, 90.00 90.00 90.00°
Space group Pbcn (No. 60)
Unique sites:
Ba 0.000 0.014 0.250
Ba 0.050 0.245 0.508
Ba 0.197 0.367 0.148
Ba 0.207 0.367 0.879
C 0.000 0.430 0.750
N 0.030 0.446 0.336
N 0.097 0.303 0.713
N 0.153 0.109 0.007

The 6 most intense peaks (10 to 90 degrees two-theta), by intensity:
d = 3.030 Å, 29.48°, rel. 100, (2 0 4)
d = 2.769 Å, 32.33°, rel. 61, (4 1 1)
d = 2.753 Å, 32.52°, rel. 39, (1 2 3)
d = 3.321 Å, 26.84°, rel. 37, (1 2 1)
d = 3.169 Å, 28.16°, rel. 34, (0 2 2)
d = 3.557 Å, 25.04°, rel. 33, (3 1 0)